# BaY2O4
Simulated powder XRD pattern, Cu Kα. Input: a DFT-relaxed cell (GGA-PBE, the Materials Project).
No peak broadening, texture or thermal motion is included.

Cell and atoms:
Cell lengths 10.5233, 3.4886, 12.2454 Å; angles 90.00, 90.00, 90.00 degrees
Sites, in units of the cell vectors:
Ba 0.2466 0.2500 0.1490
Ba 0.2534 0.7500 0.6490
Ba 0.7466 0.2500 0.3510
Ba 0.7534 0.7500 0.8510
Y 0.0734 0.2500 0.3891
Y 0.0778 0.2500 0.8910
Y 0.4222 0.7500 0.3910
Y 0.4266 0.7500 0.8891
Y 0.5734 0.2500 0.1109
Y 0.5778 0.2500 0.6090
Y 0.9222 0.7500 0.1090
Y 0.9266 0.7500 0.6109
O 0.0190 0.7500 0.7829
O 0.0710 0.2500 0.5741
O 0.1157 0.7500 0.0185
O 0.2092 0.7500 0.3409
O 0.2908 0.2500 0.8409
O 0.3843 0.2500 0.5185
O 0.4290 0.7500 0.0741
O 0.4810 0.2500 0.2829
O 0.5190 0.7500 0.7171
O 0.5710 0.2500 0.9259
O 0.6157 0.7500 0.4815
O 0.7092 0.7500 0.1591
O 0.7908 0.2500 0.6591
O 0.8843 0.2500 0.9815
O 0.9290 0.7500 0.4259
O 0.9810 0.2500 0.2171

The 8 most intense peaks (15° ≤ 2θ ≤ 90°), in order of rising 2θ:
2θ (°)  Rel. int.
29.17  47.3
29.34  100.0
30.71  64.7
34.89  38.3
37.08  17.3
42.90  22.4
52.46  17.2
61.21  40.8

***

# Ba3Y2O6
Simulated powder XRD pattern, Cu Kα. Input: a DFT-relaxed cell (GGA-PBE, the Materials Project).
No peak broadening, texture or thermal motion is included.

Cell and atoms:
Cell lengths 11.3469, 11.3469, 11.3469 Å; angles 157.56, 157.56, 31.94 degrees
Sites, in units of the cell vectors:
Ba 0.0000 0.0000 0.0000
Ba 0.1831 0.1831 0.0000
Ba 0.8169 0.8169 0.0000
Y 0.3983 0.3983 0.0000
Y 0.6017 0.6017 0.0000
O 0.0828 0.5828 0.5000
O 0.3006 0.3006 0.0000
O 0.4172 0.9172 0.5000
O 0.5828 0.0828 0.5000
O 0.6994 0.6994 0.0000
O 0.9172 0.4172 0.5000

The 8 most intense peaks (15° ≤ 2θ ≤ 90°), in order of rising 2θ:
2θ (°)  Rel. int.
28.59  58.3
28.77  100.0
37.99  14.7
40.88  33.7
50.75  41.2
51.07  15.1
59.58  11.8
67.08  22.2

***

# Ba2ZnO6
Simulated powder XRD pattern, Cu Kα. Input: a DFT-relaxed cell (GGA-PBE, the Materials Project).
No peak broadening, texture or thermal motion is included.

Cell and atoms:
Cell lengths 5.5224, 6.6438, 8.6533 Å; angles 90.00, 92.21, 90.00 degrees
Sites, in units of the cell vectors:
Ba 0.2191 0.0000 0.4894
Ba 0.2781 0.8362 0.0073
Ba 0.7219 0.3362 0.9927
Ba 0.7809 0.5000 0.5106
Zn 0.2485 0.4233 0.2507
Zn 0.7515 0.9233 0.7493
O 0.0257 0.7304 0.7330
O 0.1023 0.6829 0.2940
O 0.2250 0.4058 0.0194
O 0.2809 0.4395 0.4823
O 0.3777 0.1603 0.1977
O 0.4812 0.1160 0.7603
O 0.5188 0.6160 0.2397
O 0.6223 0.6603 0.8023
O 0.7191 0.9395 0.5177
O 0.7750 0.9058 0.9806
O 0.8977 0.1829 0.7060
O 0.9743 0.2304 0.2670

The 8 most intense peaks (15° ≤ 2θ ≤ 90°), in order of rising 2θ:
2θ (°)  Rel. int.
19.41  50.3
20.54  42.5
20.93  47.0
28.79  76.8
29.04  100.0
29.93  85.6
32.45  51.7
41.79  46.1

***

# Ba2ZnO3
Simulated powder XRD pattern, Cu Kα. Input: a DFT-relaxed cell (GGA-PBE, the Materials Project).
No peak broadening, texture or thermal motion is included.

Cell and atoms:
Cell lengths 6.5049, 6.5049, 12.7163 Å; angles 91.47, 91.47, 125.41 degrees
Sites, in units of the cell vectors:
Ba 0.0301 0.4407 0.3477
Ba 0.1348 0.3420 0.9250
Ba 0.3420 0.1348 0.4250
Ba 0.4407 0.0301 0.8477
Ba 0.5593 0.9699 0.1523
Ba 0.6580 0.8652 0.5750
Ba 0.8652 0.6580 0.0750
Ba 0.9699 0.5593 0.6523
Zn 0.2690 0.2737 0.1637
Zn 0.2737 0.2690 0.6637
Zn 0.7263 0.7310 0.3363
Zn 0.7310 0.7263 0.8363
O 0.0069 0.9931 0.7500
O 0.1264 0.3236 0.5351
O 0.1494 0.4919 0.1324
O 0.3236 0.1264 0.0351
O 0.4063 0.5937 0.7500
O 0.4919 0.1494 0.6324
O 0.5081 0.8506 0.3676
O 0.5937 0.4063 0.2500
O 0.6764 0.8736 0.9649
O 0.8506 0.5081 0.8676
O 0.8736 0.6764 0.4649
O 0.9931 0.0069 0.2500

The 8 most intense peaks (15° ≤ 2θ ≤ 90°), in order of rising 2θ:
2θ (°)  Rel. int.
26.30  38.9
28.26  42.4
28.68  39.4
30.00  100.0
30.63  48.1
31.41  51.8
31.75  30.5
38.73  32.5

***

# Ba4ZrO6
Simulated powder XRD pattern, Cu Kα. Input: a DFT-relaxed cell (GGA-PBE, the Materials Project).
No peak broadening, texture or thermal motion is included.

Cell and atoms:
Cell lengths 7.4894, 7.4894, 7.4894 Å; angles 89.58, 89.58, 89.58 degrees
Sites, in units of the cell vectors:
Ba 0.1141 0.7500 0.3859
Ba 0.2500 0.2500 0.2500
Ba 0.2500 0.6141 0.8859
Ba 0.3859 0.1141 0.7500
Ba 0.6141 0.8859 0.2500
Ba 0.7500 0.3859 0.1141
Ba 0.7500 0.7500 0.7500
Ba 0.8859 0.2500 0.6141
Zr 0.0000 0.0000 0.0000
Zr 0.5000 0.5000 0.5000
O 0.0576 0.9257 0.7265
O 0.0743 0.2735 0.9424
O 0.2265 0.4257 0.5576
O 0.2735 0.9424 0.0743
O 0.4257 0.5576 0.2265
O 0.4424 0.7735 0.5743
O 0.5576 0.2265 0.4257
O 0.5743 0.4424 0.7735
O 0.7265 0.0576 0.9257
O 0.7735 0.5743 0.4424
O 0.9257 0.7265 0.0576
O 0.9424 0.0743 0.2735

The 8 most intense peaks (15° ≤ 2θ ≤ 90°), in order of rising 2θ:
2θ (°)  Rel. int.
26.54  77.4
29.32  100.0
33.73  22.2
37.91  22.9
39.95  39.5
51.59  17.9
51.81  20.6
51.98  19.5

***

# Ba2ZrO6
Simulated powder XRD pattern, Cu Kα. Input: a DFT-relaxed cell (GGA-PBE, the Materials Project).
No peak broadening, texture or thermal motion is included.

Cell and atoms:
Cell lengths 4.2112, 4.2112, 8.3828 Å; angles 90.00, 90.00, 90.00 degrees
Sites, in units of the cell vectors:
Ba 0.0000 0.0000 0.2251
Ba 0.0000 0.0000 0.7749
Zr 0.5000 0.5000 0.5000
O 0.0000 0.5000 0.0000
O 0.0000 0.5000 0.5000
O 0.5000 0.0000 0.0000
O 0.5000 0.0000 0.5000
O 0.5000 0.5000 0.2493
O 0.5000 0.5000 0.7507

The 8 most intense peaks (15° ≤ 2θ ≤ 90°), in order of rising 2θ:
2θ (°)  Rel. int.
21.10  14.2
23.64  22.8
30.06  100.0
37.03  25.2
42.95  25.5
53.33  26.3
62.53  12.1
70.76  12.1

***

# Ba3Zr2O7
Simulated powder XRD pattern, Cu Kα. Input: a DFT-relaxed cell (GGA-PBE, the Materials Project).
No peak broadening, texture or thermal motion is included.

Cell and atoms:
Cell lengths 11.4493, 11.4493, 11.4493 Å; angles 158.57, 158.57, 30.48 degrees
Sites, in units of the cell vectors:
Ba 0.0000 0.0000 0.0000
Ba 0.1855 0.1855 0.0000
Ba 0.8145 0.8145 0.0000
Zr 0.4026 0.4026 0.0000
Zr 0.5974 0.5974 0.0000
O 0.0962 0.5962 0.5000
O 0.3068 0.3068 0.0000
O 0.4038 0.9038 0.5000
O 0.5000 0.5000 0.0000
O 0.5962 0.0962 0.5000
O 0.6932 0.6932 0.0000
O 0.9038 0.4038 0.5000

The 8 most intense peaks (15° ≤ 2θ ≤ 90°), in order of rising 2θ:
2θ (°)  Rel. int.
29.13  100.0
29.68  60.0
38.63  12.6
40.85  13.3
42.47  36.2
51.30  17.0
52.33  39.3
60.39  15.6

***

# BaP2Os2
Simulated powder XRD pattern, Cu Kα. Input: a DFT-relaxed cell (GGA-PBE, the Materials Project).
No peak broadening, texture or thermal motion is included.

Cell and atoms:
Cell lengths 4.0839, 4.0839, 12.2874 Å; angles 90.00, 90.00, 90.00 degrees
Sites, in units of the cell vectors:
Ba 0.0000 0.0000 0.0000
Ba 0.5000 0.5000 0.5000
P 0.0000 0.0000 0.3443
P 0.0000 0.0000 0.6557
P 0.5000 0.5000 0.1557
P 0.5000 0.5000 0.8443
Os 0.0000 0.5000 0.2500
Os 0.0000 0.5000 0.7500
Os 0.5000 0.0000 0.2500
Os 0.5000 0.0000 0.7500

The 8 most intense peaks (15° ≤ 2θ ≤ 90°), in order of rising 2θ:
2θ (°)  Rel. int.
29.07  35.1
30.93  30.2
34.31  100.0
42.98  22.3
44.36  33.7
53.92  25.8
54.98  43.1
75.18  21.2

***

# BaSb12Os4
Simulated powder XRD pattern, Cu Kα. Input: a DFT-relaxed cell (GGA-PBE, the Materials Project).
No peak broadening, texture or thermal motion is included.

Cell and atoms:
Cell lengths 8.2046, 8.2046, 8.2046 Å; angles 109.47, 109.47, 109.47 degrees
Sites, in units of the cell vectors:
Ba 0.0000 0.0000 0.0000
Sb 0.1592 0.3420 0.5013
Sb 0.1592 0.6580 0.8172
Sb 0.1828 0.8408 0.3420
Sb 0.3420 0.1828 0.8408
Sb 0.3420 0.5013 0.1592
Sb 0.4987 0.8408 0.6580
Sb 0.5013 0.1592 0.3420
Sb 0.6580 0.4987 0.8408
Sb 0.6580 0.8172 0.1592
Sb 0.8172 0.1592 0.6580
Sb 0.8408 0.3420 0.1828
Sb 0.8408 0.6580 0.4987
Os 0.0000 0.0000 0.5000
Os 0.0000 0.5000 0.0000
Os 0.5000 0.0000 0.0000
Os 0.5000 0.5000 0.5000

The 8 most intense peaks (15° ≤ 2θ ≤ 90°), in order of rising 2θ:
2θ (°)  Rel. int.
18.73  29.6
26.61  29.3
29.82  100.0
35.45  43.6
42.68  53.7
46.99  60.4
49.03  28.6
87.34  24.7